Record 1
Theoretical powder diffractogram of K3NdCl6 for Cu Kα, 1.54184 Å, from a DFT-relaxed cell (GGA-PBE, Alexandria).

Largest 10 diffraction maxima, low angle first, 2θ = 10–90°:
(hkl), 2theta, intensity
0 1 1, 13.65, 100
1 0 -2, 14.33, 48
1 1 -1, 15.99, 85
1 1 1, 22.66, 79
1 1 -3, 23.07, 74
2 1 -1, 26.94, 54
1 0 -4, 27.42, 39
2 2 -2, 32.31, 69
3 1 -1, 40.36, 45
2 0 -6, 41.11, 53

Crystal structure
```
data_K3NdCl6
_cell_length_a 7.627
_cell_length_b 8.070
_cell_length_c 13.166
_cell_angle_alpha 90.00
_cell_angle_beta 123.99
_cell_angle_gamma 90.00
_space_group_name_H-M_alt 'P 1 21/c 1'
_space_group_IT_number 14
_space_group_name_Hall '-P 2ybc'
loop_
_atom_site_label
_atom_site_fract_x
_atom_site_fract_y
_atom_site_fract_z
K1 0.000 0.000 0.000
K2 0.212 0.072 0.741
Nd1 0.500 0.000 0.500
Cl1 0.151 0.183 0.440
Cl2 0.246 0.721 0.418
Cl3 0.406 0.063 0.269
```

=====

Record 2
Theoretical powder diffractogram of AcPr6Sm3 for Cu Kα, 1.54184 Å, from a DFT-relaxed cell (GGA-PBE, Alexandria).

Largest 10 diffraction maxima, low angle first, 2θ = 10–90°:
(hkl), 2theta, intensity
1 1 2, 28.46, 26
2 1 -2, 29.21, 24
4 0 0, 29.58, 94
1 0 5, 30.62, 66
3 0 -5, 31.15, 100
2 1 2, 31.94, 30
3 1 -2, 33.06, 37
0 2 0, 49.63, 21
6 1 -3, 50.89, 25
4 2 0, 58.85, 21

Crystal structure
```
data_AcPr6Sm3
_cell_length_a 12.454
_cell_length_b 3.674
_cell_length_c 16.503
_cell_angle_alpha 90.00
_cell_angle_beta 104.23
_cell_angle_gamma 90.00
_space_group_name_H-M_alt 'P 1 21/m 1'
_space_group_IT_number 11
_space_group_name_Hall '-P 2yb'
loop_
_atom_site_label
_atom_site_fract_x
_atom_site_fract_y
_atom_site_fract_z
Ac1 0.134 0.250 0.062
Pr1 0.112 0.250 0.460
Pr2 0.115 0.750 0.855
Pr3 0.158 0.750 0.274
Pr4 0.339 0.750 0.613
Pr5 0.360 0.250 0.819
Pr6 0.381 0.750 0.022
Sm1 0.112 0.250 0.671
Sm2 0.384 0.250 0.428
Sm3 0.399 0.250 0.217
```

=====

Record 3
Theoretical powder diffractogram of Ce2Pu2Sc7 for Cu Kα, 1.54184 Å, from a DFT-relaxed cell (GGA-PBE, Alexandria).

Largest 10 diffraction maxima, low angle first, 2θ = 10–90°:
(hkl), 2theta, intensity
1 1 -1, 16.88, 95
1 1 1, 22.75, 94
1 3 0, 27.57, 100
2 0 -2, 29.45, 53
0 0 2, 29.82, 43
3 1 0, 32.82, 60
3 1 -2, 35.70, 66
0 4 1, 37.40, 56
3 3 -1, 39.37, 42
4 0 -1, 39.50, 40

Crystal structure
```
data_Ce2Pu2Sc7
_cell_length_a 9.127
_cell_length_b 10.502
_cell_length_c 6.452
_cell_angle_alpha 90.00
_cell_angle_beta 111.76
_cell_angle_gamma 90.00
_space_group_name_H-M_alt 'C 1 2/m 1'
_space_group_IT_number 12
_space_group_name_Hall '-C 2y'
loop_
_atom_site_label
_atom_site_fract_x
_atom_site_fract_y
_atom_site_fract_z
Ce1 0.119 0.000 0.431
Pu1 0.000 0.358 0.000
Sc1 0.000 0.500 0.500
Sc2 0.177 0.250 0.707
Sc3 0.188 0.000 0.989
```

=====

Record 4
Theoretical powder diffractogram of Ba7Bi3N2 for Cu Kα, 1.54184 Å, from a DFT-relaxed cell (GGA-PBE, Alexandria).

Largest 10 diffraction maxima, low angle first, 2θ = 10–90°:
(hkl), 2theta, intensity
1 5 1, 27.69, 100
0 10 0, 31.22, 18
2 0 0, 31.37, 20
0 0 2, 33.59, 17
2 10 0, 44.85, 13
2 0 2, 46.62, 14
1 15 1, 53.43, 12
3 5 1, 53.61, 16
1 5 3, 56.53, 14
2 10 2, 57.18, 13

Crystal structure
```
data_Ba7Bi3N2
_cell_length_a 5.704
_cell_length_b 28.647
_cell_length_c 5.336
_cell_angle_alpha 90.00
_cell_angle_beta 90.00
_cell_angle_gamma 90.00
_space_group_name_H-M_alt 'C m m m'
_space_group_IT_number 65
_space_group_name_Hall '-C 2 2'
loop_
_atom_site_label
_atom_site_fract_x
_atom_site_fract_y
_atom_site_fract_z
Ba1 0.000 0.000 0.000
Ba2 0.000 0.100 0.500
Ba3 0.000 0.200 0.000
Ba4 0.000 0.400 0.000
Bi1 0.000 0.312 0.500
Bi2 0.000 0.500 0.500
N1 0.000 0.102 0.000
```

=====

Record 5
Theoretical powder diffractogram of AcYMgPt for Cu Kα, 1.54184 Å, from a DFT-relaxed cell (GGA-PBE, Alexandria).

Largest 10 diffraction maxima, low angle first, 2θ = 10–90°:
(hkl), 2theta, intensity
1 1 1, 20.38, 35
2 2 0, 33.58, 100
3 1 1, 39.60, 20
4 0 0, 48.22, 18
3 3 1, 52.87, 9
4 2 2, 60.04, 38
5 1 1, 64.10, 7
4 4 0, 70.58, 12
5 3 1, 74.34, 7
6 2 0, 80.47, 17

Crystal structure
```
data_AcYMgPt
_cell_length_a 7.549
_cell_length_b 7.549
_cell_length_c 7.549
_cell_angle_alpha 90.00
_cell_angle_beta 90.00
_cell_angle_gamma 90.00
_space_group_name_H-M_alt 'F -4 3 m'
_space_group_IT_number 216
_space_group_name_Hall 'F -4 2 3'
loop_
_atom_site_label
_atom_site_fract_x
_atom_site_fract_y
_atom_site_fract_z
Ac1 0.000 0.000 0.000
Y1 0.000 0.000 0.500
Mg1 0.250 0.250 0.750
Pt1 0.250 0.250 0.250
```

=====

Record 6
Theoretical powder diffractogram of Ta8VC4S8 for Cu Kα, 1.54184 Å, from a DFT-relaxed cell (GGA-PBE, Alexandria).

Largest 10 diffraction maxima, low angle first, 2θ = 10–90°:
(hkl), 2theta, intensity
0 0 3, 10.25, 100
0 2 1, 31.39, 34
0 2 4, 34.21, 34
2 0 5, 35.80, 39
0 2 7, 39.79, 22
0 0 12, 41.89, 10
2 0 8, 42.11, 39
2 2 0, 55.51, 21
0 2 13, 56.26, 14
2 2 12, 71.90, 13

Crystal structure
```
data_Ta8VC4S8
_cell_length_a 6.6213
_cell_length_b 6.6213
_cell_length_c 25.8801
_cell_angle_alpha 90.00
_cell_angle_beta 90.00
_cell_angle_gamma 120.00
_space_group_name_H-M_alt 'R -3 m'
_space_group_IT_number 166
_space_group_name_Hall '-R 3 2"'
loop_
_atom_site_label
_atom_site_fract_x
_atom_site_fract_y
_atom_site_fract_z
Ta1 0.0000 0.0000 0.1225
Ta2 0.0010 0.5005 0.8781
V1 0.0000 0.0000 0.0000
C1 0.0000 0.0000 0.5000
C2 0.0000 0.5000 0.5000
S1 0.0000 0.0000 0.2737
S2 0.0016 0.5008 0.2755
```

=====

Record 7
Theoretical powder diffractogram of Er3TmTh5 for Cu Kα, 1.54184 Å, from a DFT-relaxed cell (GGA-PBE, Alexandria).

Largest 10 diffraction maxima, low angle first, 2θ = 10–90°:
(hkl), 2theta, intensity
2 2 0, 27.44, 57
2 1 3, 28.85, 35
3 1 0, 30.76, 13
2 0 4, 31.99, 100
3 2 1, 35.79, 20
2 1 5, 38.71, 14
4 1 1, 40.98, 20
4 2 4, 51.46, 20
0 0 8, 51.86, 10
2 2 8, 59.67, 14

Crystal structure
```
data_Er3TmTh5
_cell_length_a 9.192
_cell_length_b 9.192
_cell_length_c 14.103
_cell_angle_alpha 90.00
_cell_angle_beta 90.00
_cell_angle_gamma 90.00
_space_group_name_H-M_alt 'I 4/m c m'
_space_group_IT_number 140
_space_group_name_Hall '-I 4 2c'
loop_
_atom_site_label
_atom_site_fract_x
_atom_site_fract_y
_atom_site_fract_z
Er1 0.000 0.000 0.250
Er2 0.104 0.396 0.000
Tm1 0.000 0.500 0.250
Th1 0.000 0.000 0.000
Th2 0.208 0.292 0.373
```

=====

Record 8
Theoretical powder diffractogram of K2ScCuTe4 for Cu Kα, 1.54184 Å, from a DFT-relaxed cell (GGA-PBE, Alexandria).

Largest 10 diffraction maxima, low angle first, 2θ = 10–90°:
(hkl), 2theta, intensity
1 1 0, 14.84, 19
2 1 1, 26.40, 100
2 2 0, 29.94, 12
2 0 2, 31.82, 38
3 1 2, 41.44, 17
2 1 3, 43.24, 24
4 1 1, 45.93, 18
0 0 4, 48.24, 14
4 0 2, 49.49, 14
5 2 1, 60.31, 11

Crystal structure
```
data_K2ScCuTe4
_cell_length_a 8.441
_cell_length_b 8.441
_cell_length_c 7.542
_cell_angle_alpha 90.00
_cell_angle_beta 90.00
_cell_angle_gamma 90.00
_space_group_name_H-M_alt 'I -4 2 m'
_space_group_IT_number 121
_space_group_name_Hall 'I -4 2'
loop_
_atom_site_label
_atom_site_fract_x
_atom_site_fract_y
_atom_site_fract_z
K1 0.000 0.500 0.000
Sc1 0.000 0.000 0.000
Cu1 0.000 0.000 0.500
Te1 0.163 0.163 0.271
```

=====

Record 9
Theoretical powder diffractogram of VCl4 for Cu Kα, 1.54184 Å, from a DFT-relaxed cell (GGA-PBE, Alexandria).

Largest 10 diffraction maxima, low angle first, 2θ = 10–90°:
(hkl), 2theta, intensity
1 0 -2, 14.29, 69
0 1 0, 15.17, 75
2 0 0, 15.58, 98
0 0 2, 16.29, 100
1 1 1, 20.48, 78
2 1 0, 21.81, 58
2 1 -2, 22.34, 54
0 1 3, 28.96, 96
4 1 -2, 31.64, 48
7 0 -4, 49.74, 50

Crystal structure
```
data_VCl4
_cell_length_a 12.946
_cell_length_b 5.842
_cell_length_c 12.392
_cell_angle_alpha 90.00
_cell_angle_beta 118.50
_cell_angle_gamma 90.00
_space_group_name_H-M_alt 'P 1 2/c 1'
_space_group_IT_number 13
_space_group_name_Hall '-P 2yc'
loop_
_atom_site_label
_atom_site_fract_x
_atom_site_fract_y
_atom_site_fract_z
V1 0.243 0.095 0.442
Cl1 0.109 0.299 0.451
Cl2 0.163 0.131 0.787
Cl3 0.333 0.102 0.107
Cl4 0.365 0.315 0.421
```

=====

Record 10
Theoretical powder diffractogram of Cs3Ge2Te4 for Cu Kα, 1.54184 Å, from a DFT-relaxed cell (GGA-PBE, Alexandria).

Largest 10 diffraction maxima, low angle first, 2θ = 10–90°:
(hkl), 2theta, intensity
2 0 0, 11.68, 45
1 3 0, 22.39, 36
3 1 1, 22.88, 42
2 0 2, 24.74, 76
4 0 -2, 27.75, 52
3 3 0, 27.97, 61
3 3 -1, 28.55, 75
1 3 -2, 29.19, 100
1 1 -3, 30.00, 52
5 1 0, 30.38, 66

Crystal structure
```
data_Cs3Ge2Te4
_cell_length_a 15.422
_cell_length_b 12.346
_cell_length_c 9.210
_cell_angle_alpha 90.00
_cell_angle_beta 100.79
_cell_angle_gamma 90.00
_space_group_name_H-M_alt 'C 1 2/c 1'
_space_group_IT_number 15
_space_group_name_Hall '-C 2yc'
loop_
_atom_site_label
_atom_site_fract_x
_atom_site_fract_y
_atom_site_fract_z
Cs1 0.000 0.108 0.250
Cs2 0.139 0.366 0.610
Ge1 0.206 0.120 0.925
Te1 0.123 0.308 0.015
Te2 0.184 0.046 0.619
```